Structure and calculated X-ray powder pattern of Pr6Zn2N (DFT lattice parameters and positions (GGA-PBE); Cu Kα (λ = 1.5418 Å)).
Intensities are scaled so that the largest is 100.

Main lines, by angle (10 to 90 degrees two-theta):
2θ (°), Rel. int., index
29.0, 33, 1 0 2
29.1, 57, 1 0 -4
29.9, 100, 0 2 2
30.5, 59, 2 1 -3
32.8, 40, 1 2 1
34.6, 29, 0 0 4

Cell lengths 6.7305, 7.2937, 12.3426 Å; angles 90.00, 122.78, 90.00 degrees
Space group P2_1/c (No. 14)
Inequivalent atoms, fractional coordinates:
Pr 0.1270 0.0209 0.2379 (multiplicity 4)
Pr 0.2286 0.7061 0.0453 (multiplicity 4)
Pr 0.3540 0.1890 0.0465 (multiplicity 4)
Zn 0.3048 0.0795 0.7485 (multiplicity 4)
N 0.0000 0.0000 0.0000 (multiplicity 2)